Dy2Ho2GeI5: computed powder XRD pattern (CuKα), based on a cell relaxed with PBE.
Intensities are scaled so that the largest is 100.

Cell and atoms:
a = 19.075 Å, b = 4.198 Å, c = 8.774 Å
α = 90.00°, β = 102.82°, γ = 90.00°
Space group C2/m (No. 12)
Asymmetric unit:
1 Dy 0.147 0.000 0.074 (multiplicity 4)
2 Ho 0.000 0.500 0.211 (multiplicity 4)
3 Ge 0.000 0.000 0.000 (multiplicity 2)
4 I 0.000 0.000 0.500 (multiplicity 2)
5 I 0.166 0.500 0.337 (multiplicity 4)
6 I 0.171 0.500 0.829 (multiplicity 4)

Largest 6 diffraction maxima, sorted by position, 5° ≤ 2θ ≤ 70°:
- hkl 0 0 1, 10.34°, I 29
- hkl 6 0 0, 28.80°, I 49
- hkl 1 1 -2, 29.45°, I 100
- hkl 5 1 2, 41.54°, I 34
- hkl 7 1 -2, 41.78°, I 33
- hkl 0 2 0, 43.09°, I 19